The following is a calculated powder X-ray diffraction pattern of Na3VAsCO7. It was derived from a GGA+U-relaxed structure, using CuKα.
Neutral-atom scattering factors, no anomalous dispersion.

Peak list (12 most intense, 2θ = 10–90°, most intense first)
2θ = 25.4°, I 100
2θ = 32.2°, I 90
2θ = 32.0°, I 70
2θ = 33.6°, I 68
2θ = 23.3°, I 54
2θ = 19.0°, I 36
2θ = 29.1°, I 33
2θ = 52.3°, I 33
2θ = 25.3°, I 33
2θ = 47.5°, I 32
2θ = 33.4°, I 30
2θ = 47.7°, I 24

Crystal structure
```
data_Na3VAsCO7
_cell_length_a 5.3333
_cell_length_b 7.0013
_cell_length_c 9.1434
_cell_angle_alpha 90.00
_cell_angle_beta 91.81
_cell_angle_gamma 90.00
_symmetry_space_group_name_H-M 'P 1 21/m 1'
_symmetry_Int_Tables_number 11
loop_
_symmetry_equiv_pos_as_xyz
'x,y,z'
'-x,-y,-z'
'-x,y+1/2,-z'
'x,-y+1/2,z'
loop_
_atom_site_label
_atom_site_type_symbol
_atom_site_fract_x
_atom_site_fract_y
_atom_site_fract_z
Na1 Na 0.2271 0.2500 0.0809
Na2 Na 0.2545 0.5092 0.7355
V1 V 0.2205 0.7500 0.3369
As1 As 0.2891 0.2500 0.4146
C1 C 0.2916 0.7500 0.0545
O1 O 0.0689 0.7500 0.1101
O2 O 0.1541 0.2500 0.5826
O3 O 0.2055 0.0573 0.3051
O4 O 0.3194 0.7500 0.9148
O5 O 0.3879 0.7500 0.5570
O6 O 0.4856 0.7500 0.1461
```